Record 1
This entry pairs a crystal structure of CeHoOs with its computed X-ray powder pattern. Radiation: a wavelength of 1.5418 Å. Structure: DFT lattice parameters and positions (GGA-PBE).

Most intense lines, 10° ≤ 2θ ≤ 90°, low angle first:
| two_theta | Rel. int. | (hkl) |
| --- | --- | --- |
| 14.76 | 73 | 0 0 1 |
| 15.83 | 36 | 1 0 0 |
| 30.63 | 35 | 2 0 -1 |
| 32.48 | 82 | 1 1 1 |
| 35.67 | 47 | 1 1 -2 |
| 36.23 | 58 | 2 0 -2 |
| 36.38 | 100 | 0 1 2 |
| 38.25 | 74 | 2 1 0 |
| 41.56 | 57 | 0 2 0 |
| 53.33 | 35 | 1 0 3 |

```
data_CeHoOs
_cell_length_a 5.9066
_cell_length_b 4.3462
_cell_length_c 6.3348
_cell_angle_alpha 90.00
_cell_angle_beta 108.62
_cell_angle_gamma 90.00
_space_group_name_H-M_alt 'P 1 21/m 1'
_space_group_IT_number 11
loop_
_space_group_symop_operation_xyz
'x,y,z'
'-x,-y,-z'
'-x,y+1/2,-z'
'x,-y+1/2,z'
loop_
_atom_site_label
_atom_site_type_symbol
_atom_site_fract_x
_atom_site_fract_y
_atom_site_fract_z
Ce1 Ce 0.0065 0.2500 0.3314
Ho1 Ho 0.4263 0.7500 0.1918
Os1 Os 0.1355 0.2500 0.9233
```

---

Record 2
This entry pairs a crystal structure of Ce4HoP5 with its computed X-ray powder pattern. Radiation: a wavelength of 1.5418 Å. Structure: DFT lattice parameters and positions (GGA-PBE).

Most intense lines, 10° ≤ 2θ ≤ 90°, low angle first:
| two_theta | Rel. int. | (hkl) |
| --- | --- | --- |
| 26.83 | 80 | 1 2 1 |
| 31.08 | 100 | 3 1 0 |
| 44.52 | 73 | 3 1 2 |
| 52.75 | 39 | 5 0 1 |
| 55.29 | 25 | 2 4 2 |
| 64.79 | 12 | 6 2 0 |
| 71.44 | 16 | 5 0 3 |
| 73.59 | 33 | 6 2 2 |
| 82.02 | 25 | 5 5 2 |
| 88.21 | 12 | 8 1 1 |

```
data_Ce4HoP5
_cell_length_a 9.0994
_cell_length_b 9.0994
_cell_length_c 5.7575
_cell_angle_alpha 90.00
_cell_angle_beta 90.00
_cell_angle_gamma 90.00
_space_group_name_H-M_alt 'I 4/m'
_space_group_IT_number 87
_space_group_name_Hall '-I 4'
loop_
_atom_site_label
_atom_site_type_symbol
_atom_site_fract_x
_atom_site_fract_y
_atom_site_fract_z
Ce1 Ce 0.0993 0.7005 0.0000
Ho1 Ho 0.0000 0.0000 0.5000
P1 P 0.0000 0.0000 0.0000
P2 P 0.0996 0.7025 0.5000
```

---

Record 3
This entry pairs a crystal structure of Ce5Ho3P8 with its computed X-ray powder pattern. Radiation: a wavelength of 1.5418 Å. Structure: DFT lattice parameters and positions (GGA-PBE).

Most intense lines, 10° ≤ 2θ ≤ 90°, low angle first:
| two_theta | Rel. int. | (hkl) |
| --- | --- | --- |
| 26.96 | 82 | 2 0 2 |
| 31.23 | 100 | 0 2 4 |
| 44.76 | 73 | 2 2 0 |
| 53.03 | 40 | 2 2 6 |
| 55.59 | 25 | 4 0 4 |
| 65.15 | 12 | 0 4 8 |
| 71.83 | 12 | 4 2 2 |
| 74.02 | 33 | 2 4 4 |
| 82.49 | 19 | 6 0 0 |
| 88.76 | 12 | 6 0 6 |

```
data_Ce5Ho3P8
_cell_length_a 8.1036
_cell_length_b 8.1036
_cell_length_c 19.8200
_cell_angle_alpha 90.00
_cell_angle_beta 90.00
_cell_angle_gamma 120.00
_space_group_name_H-M_alt 'R -3 m'
_space_group_IT_number 166
_space_group_name_Hall '-R 3 2"'
loop_
_atom_site_label
_atom_site_type_symbol
_atom_site_fract_x
_atom_site_fract_y
_atom_site_fract_z
Ce1 Ce 0.0000 0.0000 0.0000
Ce2 Ce 0.0000 0.0000 0.5000
Ce3 Ce 0.0000 0.5000 0.0000
Ho1 Ho 0.0000 0.5000 0.5000
P1 P 0.0000 0.0000 0.2487
P2 P 0.0024 0.5012 0.7512
```

---

Record 4
This entry pairs a crystal structure of CeHo3P4 with its computed X-ray powder pattern. Radiation: a wavelength of 1.5418 Å. Structure: DFT lattice parameters and positions (GGA-PBE).

Most intense lines, 10° ≤ 2θ ≤ 90°, low angle first:
| two_theta | Rel. int. | (hkl) |
| --- | --- | --- |
| 27.24 | 86 | 1 1 2 |
| 31.55 | 100 | 2 0 0 |
| 45.23 | 73 | 2 2 0 |
| 53.60 | 42 | 3 1 2 |
| 56.19 | 25 | 2 2 4 |
| 65.85 | 8 | 4 0 0 |
| 72.68 | 17 | 3 3 2 |
| 74.88 | 33 | 4 2 0 |
| 83.51 | 25 | 4 2 4 |
| 89.85 | 10 | 5 1 2 |

```
data_CeHo3P4
_cell_length_a 5.6735
_cell_length_b 5.6735
_cell_length_c 11.3316
_cell_angle_alpha 90.00
_cell_angle_beta 90.00
_cell_angle_gamma 90.00
_space_group_name_H-M_alt 'I 4/m m m'
_space_group_IT_number 139
_space_group_name_Hall '-I 4 2'
loop_
_atom_site_label
_atom_site_type_symbol
_atom_site_fract_x
_atom_site_fract_y
_atom_site_fract_z
Ce1 Ce 0.0000 0.0000 0.0000
Ho1 Ho 0.0000 0.0000 0.5000
Ho2 Ho 0.0000 0.5000 0.2500
P1 P 0.0000 0.0000 0.2499
P2 P 0.0000 0.5000 0.0000
```

---

Record 5
This entry pairs a crystal structure of Ce3HoP4 with its computed X-ray powder pattern. Radiation: a wavelength of 1.5418 Å. Structure: DFT lattice parameters and positions (GGA-PBE).

Most intense lines, 10° ≤ 2θ ≤ 90°, low angle first:
| two_theta | Rel. int. | (hkl) |
| --- | --- | --- |
| 26.88 | 80 | 1 1 1 |
| 31.14 | 100 | 2 0 0 |
| 44.61 | 73 | 2 2 0 |
| 52.86 | 39 | 3 1 1 |
| 55.41 | 25 | 2 2 2 |
| 64.93 | 12 | 4 0 0 |
| 71.60 | 16 | 3 3 1 |
| 73.76 | 33 | 4 2 0 |
| 82.21 | 25 | 4 2 2 |
| 88.43 | 12 | 5 1 1 |

```
data_Ce3HoP4
_cell_length_a 5.7445
_cell_length_b 5.7445
_cell_length_c 5.7445
_cell_angle_alpha 90.00
_cell_angle_beta 90.00
_cell_angle_gamma 90.00
_space_group_name_H-M_alt 'P m -3 m'
_space_group_IT_number 221
_space_group_name_Hall '-P 4 2 3'
loop_
_atom_site_label
_atom_site_type_symbol
_atom_site_fract_x
_atom_site_fract_y
_atom_site_fract_z
Ce1 Ce 0.0000 0.0000 0.5000
Ho1 Ho 0.5000 0.5000 0.5000
P1 P 0.0000 0.0000 0.0000
P2 P 0.0000 0.5000 0.5000
```

---

Record 6
This entry pairs a crystal structure of CeHo2Pu3P6 with its computed X-ray powder pattern. Radiation: a wavelength of 1.5418 Å. Structure: DFT lattice parameters and positions (GGA-PBE).

Most intense lines, 10° ≤ 2θ ≤ 90°, low angle first:
| two_theta | Rel. int. | (hkl) |
| --- | --- | --- |
| 27.19 | 76 | 2 0 0 |
| 27.39 | 25 | 0 0 2 |
| 31.56 | 100 | 1 3 1 |
| 45.11 | 37 | 0 6 0 |
| 45.36 | 37 | 2 0 2 |
| 53.58 | 25 | 3 3 1 |
| 56.09 | 20 | 4 0 0 |
| 74.72 | 17 | 4 6 0 |
| 75.09 | 17 | 3 3 3 |
| 83.45 | 13 | 5 3 1 |

```
data_CeHo2Pu3P6
_cell_length_a 6.9625
_cell_length_b 12.0595
_cell_length_c 6.9132
_cell_angle_alpha 90.00
_cell_angle_beta 109.62
_cell_angle_gamma 90.00
_space_group_name_H-M_alt 'C 1 2/m 1'
_space_group_IT_number 12
loop_
_space_group_symop_operation_xyz
'x,y,z'
'-x,-y,-z'
'-x,y,-z'
'x,-y,z'
'x+1/2,y+1/2,z'
'-x+1/2,-y+1/2,-z'
'-x+1/2,y+1/2,-z'
'x+1/2,-y+1/2,z'
loop_
_atom_site_label
_atom_site_type_symbol
_atom_site_fract_x
_atom_site_fract_y
_atom_site_fract_z
Ce1 Ce 0.0000 0.0000 0.0000
Ho1 Ho 0.0000 0.3332 0.0000
Pu1 Pu 0.0000 0.1663 0.5000
Pu2 Pu 0.0000 0.5000 0.5000
P1 P 0.2473 0.3323 0.7450
P2 P 0.2492 0.5000 0.2540
```

---

Please write out number 6 again, unchanged.
This entry pairs a crystal structure of CeHo2Pu3P6 with its computed X-ray powder pattern. Radiation: a wavelength of 1.5418 Å. Structure: DFT lattice parameters and positions (GGA-PBE).

Most intense lines, 10° ≤ 2θ ≤ 90°, low angle first:
| two_theta | Rel. int. | (hkl) |
| --- | --- | --- |
| 27.19 | 76 | 2 0 0 |
| 27.39 | 25 | 0 0 2 |
| 31.56 | 100 | 1 3 1 |
| 45.11 | 37 | 0 6 0 |
| 45.36 | 37 | 2 0 2 |
| 53.58 | 25 | 3 3 1 |
| 56.09 | 20 | 4 0 0 |
| 74.72 | 17 | 4 6 0 |
| 75.09 | 17 | 3 3 3 |
| 83.45 | 13 | 5 3 1 |

```
data_CeHo2Pu3P6
_cell_length_a 6.9625
_cell_length_b 12.0595
_cell_length_c 6.9132
_cell_angle_alpha 90.00
_cell_angle_beta 109.62
_cell_angle_gamma 90.00
_space_group_name_H-M_alt 'C 1 2/m 1'
_space_group_IT_number 12
loop_
_space_group_symop_operation_xyz
'x,y,z'
'-x,-y,-z'
'-x,y,-z'
'x,-y,z'
'x+1/2,y+1/2,z'
'-x+1/2,-y+1/2,-z'
'-x+1/2,y+1/2,-z'
'x+1/2,-y+1/2,z'
loop_
_atom_site_label
_atom_site_type_symbol
_atom_site_fract_x
_atom_site_fract_y
_atom_site_fract_z
Ce1 Ce 0.0000 0.0000 0.0000
Ho1 Ho 0.0000 0.3332 0.0000
Pu1 Pu 0.0000 0.1663 0.5000
Pu2 Pu 0.0000 0.5000 0.5000
P1 P 0.2473 0.3323 0.7450
P2 P 0.2492 0.5000 0.2540
```